(1)
Computed PXRD pattern of YCu3P for Cu Kα, from a crystal structure in Alexandria, relaxed with GGA-PBE.

Structural model:
a b c (Å): 4.413 4.413 4.413
angles (deg): 90.00 90.00 90.00
Space group Pm-3m (No. 221)
One atom of each set of equivalent atoms:
Y1 0.000 0.000 0.000 x1
Cu1 0.000 0.500 0.500 x3
P1 0.500 0.500 0.500 x1

Peak list (8 most intense, 2θ = 10–80°, in order of falling intensity)
hkl 1 1 1, 35.23 deg, intensity 100
hkl 2 0 0, 40.90 deg, intensity 74
hkl 2 2 0, 59.22 deg, intensity 46
hkl 3 1 1, 70.82 deg, intensity 35
hkl 2 2 2, 74.48 deg, intensity 15
hkl 1 1 0, 28.61 deg, intensity 10
hkl 2 1 1, 50.67 deg, intensity 4
hkl 3 1 0, 67.07 deg, intensity 2

***

(2)
Computed PXRD pattern of YCu4P3 for Cu Kα, from a crystal structure in Alexandria, relaxed with GGA-PBE.

Structural model:
a b c (Å): 3.942 3.942 7.651
angles (deg): 90.00 90.00 90.00
Space group P4/mmm (No. 123)
One atom of each set of equivalent atoms:
Y1 0.000 0.000 0.000 x1
Cu1 0.000 0.500 0.321 x4
P1 0.000 0.000 0.500 x1
P2 0.500 0.500 0.149 x2

Peak list (10 most intense, 2θ = 10–80°, in order of falling intensity)
hkl 1 1 2, 40.02 deg, intensity 100
hkl 1 1 1, 34.24 deg, intensity 95
hkl 2 0 0, 46.05 deg, intensity 90
hkl 1 1 3, 48.38 deg, intensity 52
hkl 1 0 2, 32.62 deg, intensity 45
hkl 0 0 3, 35.19 deg, intensity 35
hkl 2 0 3, 59.25 deg, intensity 29
hkl 2 2 0, 67.17 deg, intensity 27
hkl 1 1 5, 70.17 deg, intensity 17
hkl 2 1 2, 57.57 deg, intensity 17

***

(3)
Computed PXRD pattern of Y2Cu2P3 for Cu Kα, from a crystal structure in Alexandria, relaxed with GGA-PBE.

Structural model:
a b c (Å): 14.519 3.955 10.922
angles (deg): 90.00 126.21 90.00
Space group C2/m (No. 12)
One atom of each set of equivalent atoms:
Y1 0.106 0.000 0.442 x4
Y2 0.237 0.000 0.841 x4
Cu1 0.048 0.500 0.818 x4
Cu2 0.087 0.000 0.153 x4
P1 0.077 0.500 0.623 x4
P2 0.114 0.000 0.962 x4
P3 0.159 0.500 0.308 x4

Peak list (10 most intense, 2θ = 10–80°, in order of falling intensity)
hkl 3 1 -1, 29.36 deg, intensity 100
hkl 3 1 1, 37.82 deg, intensity 76
hkl 3 1 -4, 40.14 deg, intensity 69
hkl 3 1 -3, 33.82 deg, intensity 66
hkl 0 2 0, 45.89 deg, intensity 61
hkl 1 1 2, 34.21 deg, intensity 55
hkl 6 0 -4, 39.67 deg, intensity 55
hkl 0 0 3, 30.44 deg, intensity 49
hkl 9 1 -8, 77.14 deg, intensity 34
hkl 3 1 -5, 48.13 deg, intensity 34

***

(4)
Computed PXRD pattern of ZnCuP for Cu Kα, from a crystal structure in Alexandria, relaxed with GGA-PBE.

Structural model:
a b c (Å): 6.867 3.979 7.136
angles (deg): 90.00 103.20 90.00
Space group Cm (No. 8)
One atom of each set of equivalent atoms:
Zn1 0.000 0.000 0.000 x2
Zn2 0.240 0.500 0.304 x2
Cu1 0.152 0.000 0.671 x2
Cu2 0.444 0.000 0.500 x2
P1 0.319 0.500 0.667 x2
P2 0.369 0.000 0.155 x2

Peak list (10 most intense, 2θ = 10–80°, in order of falling intensity)
hkl 1 1 1, 30.46 deg, intensity 100
hkl 3 1 -1, 45.89 deg, intensity 79
hkl 1 1 -3, 44.62 deg, intensity 67
hkl 2 0 -2, 32.66 deg, intensity 55
hkl 0 2 0, 45.60 deg, intensity 53
hkl 0 0 1, 12.74 deg, intensity 31
hkl 2 0 2, 41.55 deg, intensity 26
hkl 3 1 0, 46.72 deg, intensity 26
hkl 1 1 2, 39.06 deg, intensity 24
hkl 1 1 3, 50.09 deg, intensity 21

***

(5)
Computed PXRD pattern of ZnCu2P6 for Cu Kα, from a crystal structure in Alexandria, relaxed with GGA-PBE.

Structural model:
a b c (Å): 6.681 9.540 5.606
angles (deg): 90.00 90.33 90.00
Space group P2_1/c (No. 14)
One atom of each set of equivalent atoms:
Zn1 0.000 0.000 0.000 x2
Cu1 0.429 0.209 0.299 x4
P1 0.106 0.654 0.892 x4
P2 0.175 0.227 0.033 x4
P3 0.249 0.652 0.253 x4

Peak list (10 most intense, 2θ = 10–80°, in order of falling intensity)
hkl 0 2 0, 18.60 deg, intensity 100
hkl 1 2 0, 22.91 deg, intensity 87
hkl 1 0 2, 34.78 deg, intensity 56
hkl 1 2 -1, 27.93 deg, intensity 50
hkl 1 1 2, 36.07 deg, intensity 40
hkl 0 2 1, 24.50 deg, intensity 34
hkl 1 3 0, 31.15 deg, intensity 32
hkl 2 1 0, 28.31 deg, intensity 32
hkl 0 3 1, 32.37 deg, intensity 30
hkl 3 3 1, 52.85 deg, intensity 29

***

(6)
Computed PXRD pattern of ZrCu2P for Cu Kα, from a crystal structure in Alexandria, relaxed with GGA-PBE.

Structural model:
a b c (Å): 3.714 3.714 4.346
angles (deg): 90.00 90.00 90.00
Space group P4/mmm (No. 123)
One atom of each set of equivalent atoms:
Zr1 0.000 0.000 0.000 x1
Cu1 0.000 0.500 0.500 x2
P1 0.500 0.500 0.000 x1

Peak list (10 most intense, 2θ = 10–80°, in order of falling intensity)
hkl 1 1 1, 40.12 deg, intensity 100
hkl 2 0 0, 49.06 deg, intensity 27
hkl 0 0 2, 41.56 deg, intensity 23
hkl 2 0 2, 66.20 deg, intensity 21
hkl 1 1 3, 74.86 deg, intensity 14
hkl 1 0 0, 23.96 deg, intensity 11
hkl 1 0 1, 31.69 deg, intensity 11
hkl 2 2 0, 71.91 deg, intensity 8
hkl 2 1 1, 59.59 deg, intensity 4
hkl 1 0 2, 48.54 deg, intensity 3

***

(7)
Computed PXRD pattern of ZrCu2P2 for Cu Kα, from a crystal structure in Alexandria, relaxed with GGA-PBE.

Structural model:
a b c (Å): 3.599 22.337 3.609
angles (deg): 90.00 90.00 90.00
Space group Cmcm (No. 63)
One atom of each set of equivalent atoms:
Zr1 0.000 0.158 0.250 x4
Cu1 0.000 0.042 0.750 x4
Cu2 0.000 0.457 0.750 x4
P1 0.000 0.250 0.750 x4
P2 0.000 0.387 0.250 x4

Peak list (10 most intense, 2θ = 10–80°, in order of falling intensity)
hkl 1 5 1, 40.76 deg, intensity 100
hkl 0 10 0, 40.38 deg, intensity 17
hkl 0 0 2, 50.59 deg, intensity 15
hkl 2 0 0, 50.73 deg, intensity 15
hkl 1 3 0, 27.52 deg, intensity 11
hkl 0 4 1, 29.47 deg, intensity 10
hkl 2 0 2, 74.46 deg, intensity 9
hkl 0 8 1, 40.87 deg, intensity 8
hkl 0 2 1, 25.95 deg, intensity 7
hkl 0 10 2, 66.63 deg, intensity 7

***

(8)
Computed PXRD pattern of Zr3Cu4P2 for Cu Kα, from a crystal structure in Alexandria, relaxed with GGA-PBE.

Structural model:
a b c (Å): 6.3378 6.3378 3.9262
angles (deg): 90.00 90.00 120.00
Space group P-62m (No. 189)
One atom of each set of equivalent atoms:
Zr1 0.0000 0.5826 0.0000 x3
Cu1 0.0000 0.0000 0.0000 x1
Cu2 0.0000 0.2474 0.5000 x3
P1 0.3333 0.6667 0.5000 x2

Peak list (10 most intense, 2θ = 10–80°, in order of falling intensity)
hkl 1 1 1, 36.44 deg, intensity 100
hkl 2 0 1, 40.09 deg, intensity 100
hkl 2 1 0, 43.63 deg, intensity 47
hkl 0 0 2, 46.25 deg, intensity 32
hkl 2 1 2, 65.46 deg, intensity 26
hkl 3 1 1, 65.80 deg, intensity 21
hkl 2 0 0, 32.63 deg, intensity 17
hkl 3 0 0, 49.84 deg, intensity 16
hkl 2 1 1, 49.71 deg, intensity 15
hkl 3 0 2, 70.34 deg, intensity 11

***

(9)
Computed PXRD pattern of ZrCu4P for Cu Kα, from a crystal structure in Alexandria, relaxed with GGA-PBE.

Structural model:
a b c (Å): 6.982 6.982 6.982
angles (deg): 90.00 90.00 90.00
Space group F-43m (No. 216)
One atom of each set of equivalent atoms:
Zr1 0.000 0.000 0.000 x4
Cu1 0.125 0.125 0.625 x16
P1 0.250 0.250 0.250 x4

Peak list (10 most intense, 2θ = 10–80°, in order of falling intensity)
hkl 3 1 1, 42.96 deg, intensity 100
hkl 2 2 2, 44.97 deg, intensity 44
hkl 5 1 1, 70.02 deg, intensity 29
hkl 4 4 0, 77.30 deg, intensity 24
hkl 2 2 0, 36.39 deg, intensity 23
hkl 1 1 1, 22.05 deg, intensity 16
hkl 4 2 2, 65.49 deg, intensity 8
hkl 2 0 0, 25.51 deg, intensity 7
hkl 4 0 0, 52.42 deg, intensity 6
hkl 3 3 1, 57.54 deg, intensity 3

***

(10)
Computed PXRD pattern of PaCu6 for Cu Kα, from a crystal structure in Alexandria, relaxed with GGA-PBE.

Structural model:
a b c (Å): 7.987 5.006 10.042
angles (deg): 90.00 90.00 90.00
Space group Pnma (No. 62)
One atom of each set of equivalent atoms:
Pa1 0.241 0.250 0.067 x4
Cu1 0.061 0.750 0.094 x4
Cu2 0.064 0.006 0.308 x8
Cu3 0.100 0.250 0.515 x4
Cu4 0.143 0.750 0.857 x4
Cu5 0.183 0.250 0.756 x4

Peak list (10 most intense, 2θ = 10–80°, in order of falling intensity)
hkl 3 1 1, 39.37 deg, intensity 100
hkl 2 1 3, 39.47 deg, intensity 88
hkl 1 0 4, 37.55 deg, intensity 58
hkl 1 1 1, 22.76 deg, intensity 42
hkl 1 0 5, 46.69 deg, intensity 40
hkl 3 3 1, 66.85 deg, intensity 37
hkl 0 2 0, 35.88 deg, intensity 37
hkl 0 1 3, 32.17 deg, intensity 36
hkl 4 0 1, 46.39 deg, intensity 36
hkl 2 2 0, 42.63 deg, intensity 33

***

(11)
Computed PXRD pattern of PaCu for Cu Kα, from a crystal structure in Alexandria, relaxed with GGA-PBE.

Structural model:
a b c (Å): 3.271 3.866 6.114
angles (deg): 90.00 92.93 90.00
Space group P2_1/m (No. 11)
One atom of each set of equivalent atoms:
Pa1 0.192 0.250 0.128 x2
Cu1 0.279 0.250 0.598 x2

Peak list (10 most intense, 2θ = 10–80°, in order of falling intensity)
hkl 1 1 0, 35.99 deg, intensity 100
hkl 0 1 2, 37.54 deg, intensity 97
hkl 0 0 1, 14.51 deg, intensity 54
hkl 0 1 1, 27.30 deg, intensity 45
hkl 1 0 -2, 39.35 deg, intensity 36
hkl 1 0 2, 41.51 deg, intensity 35
hkl 1 0 -1, 30.37 deg, intensity 32
hkl 1 2 -2, 62.92 deg, intensity 30
hkl 0 2 0, 47.00 deg, intensity 27
hkl 1 1 1, 39.55 deg, intensity 24

***

(12)
Computed PXRD pattern of Pa2Cu7 for Cu Kα, from a crystal structure in Alexandria, relaxed with GGA-PBE.

Structural model:
a b c (Å): 5.0680 5.0680 37.4525
angles (deg): 90.00 90.00 120.00
Space group R-3m (No. 166, hexagonal axes)
One atom of each set of equivalent atoms:
Pa1 0.0000 0.0000 0.0527 x6
Pa2 0.0000 0.0000 0.1525 x6
Cu1 0.0000 0.0000 0.2787 x6
Cu2 0.0000 0.0000 0.3875 x6
Cu3 0.0000 0.0000 0.5000 x3
Cu4 0.0000 0.5000 0.0000 x9
Cu5 0.0006 0.5003 0.1090 x18

Peak list (10 most intense, 2θ = 10–80°, in order of falling intensity)
hkl 1 1 9, 41.73 deg, intensity 100
hkl 1 1 0, 35.42 deg, intensity 49
hkl 1 0 10, 31.40 deg, intensity 48
hkl 0 2 1, 41.21 deg, intensity 31
hkl 0 1 11, 33.30 deg, intensity 23
hkl 3 0 9, 67.91 deg, intensity 23
hkl 2 2 0, 74.96 deg, intensity 17
hkl 1 0 1, 20.37 deg, intensity 16
hkl 0 0 18, 43.49 deg, intensity 16
hkl 2 1 10, 61.10 deg, intensity 15

***

(13)
Computed PXRD pattern of PaCu6Pd6 for Cu Kα, from a crystal structure in Alexandria, relaxed with GGA-PBE.

Structural model:
a b c (Å): 5.089 8.499 8.851
angles (deg): 90.00 90.00 90.00
Space group Immm (No. 71)
One atom of each set of equivalent atoms:
Pa1 0.000 0.000 0.000 x2
Cu1 0.000 0.500 0.257 x4
Cu2 0.250 0.250 0.250 x8
Pd1 0.000 0.000 0.343 x4
Pd2 0.000 0.319 0.500 x4
Pd3 0.000 0.334 0.000 x4

Peak list (10 most intense, 2θ = 10–80°, in order of falling intensity)
hkl 1 3 2, 41.81 deg, intensity 100
hkl 1 3 0, 36.29 deg, intensity 79
hkl 2 0 2, 40.91 deg, intensity 55
hkl 1 2 3, 41.26 deg, intensity 50
hkl 0 0 4, 40.78 deg, intensity 46
hkl 2 0 0, 35.27 deg, intensity 44
hkl 2 2 2, 46.38 deg, intensity 39
hkl 2 2 0, 41.36 deg, intensity 39
hkl 1 0 3, 35.16 deg, intensity 34
hkl 1 3 6, 74.94 deg, intensity 34